Li3Hg2: theoretical XRD peak list (CuKα), based on DFT lattice parameters and positions (PBE).

Atomic structure:
```
data_Li3Hg2
_chemical_formula_sum 'Li6 Hg4'
_symmetry_space_group_name_H-M 'C 1 2/m 1'
_symmetry_Int_Tables_number 12
_cell_length_a 9.177
_cell_length_b 4.187
_cell_length_c 6.582
_cell_angle_alpha 90.00
_cell_angle_beta 134.03
_cell_angle_gamma 90.00
loop_
_symmetry_equiv_pos_as_xyz
'x,y,z'
'-x,-y,-z'
'-x,y,-z'
'x,-y,z'
'x+1/2,y+1/2,z'
'-x+1/2,-y+1/2,-z'
'-x+1/2,y+1/2,-z'
'x+1/2,-y+1/2,z'
loop_
_atom_site_label
_atom_site_type_symbol
_atom_site_fract_x
_atom_site_fract_y
_atom_site_fract_z
_atom_site_occupancy
Li1 Li 0.000 0.000 0.000 1
Li2 Li 0.197 0.000 0.613 1
Hg1 Hg 0.080 0.500 0.794 1
```

Most intense lines, 2θ from 10° to 90°, most intense first:
| 2theta | d_spacing | I/Imax |
| --- | --- | --- |
| 25.19 | 3.535 | 100 |
| 37.01 | 2.429 | 75 |
| 37.63 | 2.391 | 60 |
| 27.09 | 3.292 | 56 |
| 19.35 | 4.588 | 50 |
| 51.75 | 1.766 | 20 |
| 63.27 | 1.470 | 19 |
| 62.56 | 1.485 | 17 |
| 43.22 | 2.093 | 17 |
| 55.55 | 1.654 | 16 |


Li11Hg3: theoretical XRD peak list (CuKα), based on DFT lattice parameters and positions (PBE).

Atomic structure:
```
data_Li11Hg3
_chemical_formula_sum 'Li11 Hg3'
_symmetry_space_group_name_H-M 'P -1'
_symmetry_Int_Tables_number 2
_cell_length_a 4.629
_cell_length_b 7.288
_cell_length_c 8.562
_cell_angle_alpha 75.57
_cell_angle_beta 89.42
_cell_angle_gamma 71.65
loop_
_symmetry_equiv_pos_as_xyz
'x,y,z'
'-x,-y,-z'
loop_
_atom_site_label
_atom_site_type_symbol
_atom_site_fract_x
_atom_site_fract_y
_atom_site_fract_z
_atom_site_occupancy
Li1 Li 0.000 0.000 0.000 1
Li2 Li 0.143 0.713 0.319 1
Li3 Li 0.189 0.618 0.702 1
Li4 Li 0.223 0.557 0.058 1
Li5 Li 0.371 0.262 0.515 1
Li6 Li 0.447 0.104 0.228 1
Hg1 Hg 0.000 0.000 0.500 1
Hg2 Hg 0.379 0.241 0.884 1
```

Most intense lines, 2θ from 10° to 90°, most intense first:
| 2theta | d_spacing | I/Imax |
| --- | --- | --- |
| 22.13 | 4.017 | 100 |
| 22.24 | 3.996 | 49 |
| 19.12 | 4.642 | 40 |
| 38.78 | 2.322 | 37 |
| 39.04 | 2.307 | 35 |
| 38.41 | 2.343 | 23 |
| 27.88 | 3.200 | 23 |
| 13.25 | 6.681 | 21 |
| 26.05 | 3.420 | 19 |
| 27.72 | 3.219 | 16 |


LiHg8: theoretical XRD peak list (CuKα), based on DFT lattice parameters and positions (PBE).

Atomic structure:
```
data_LiHg8
_chemical_formula_sum 'Li2 Hg16'
_symmetry_space_group_name_H-M 'I 4/m m m'
_symmetry_Int_Tables_number 139
_symmetry_space_group_name_Hall '-I 4 2'
_cell_length_a 10.256
_cell_length_b 10.256
_cell_length_c 4.338
_cell_angle_alpha 90.00
_cell_angle_beta 90.00
_cell_angle_gamma 90.00
loop_
_atom_site_label
_atom_site_type_symbol
_atom_site_fract_x
_atom_site_fract_y
_atom_site_fract_z
_atom_site_occupancy
Li1 Li 0.000 0.000 0.000 1
Hg1 Hg 0.000 0.330 0.000 1
Hg2 Hg 0.159 0.159 0.500 1
```

Most intense lines, 2θ from 10° to 90°, most intense first:
| 2theta | d_spacing | I/Imax |
| --- | --- | --- |
| 33.37 | 2.685 | 100 |
| 37.19 | 2.417 | 37 |
| 64.64 | 1.442 | 29 |
| 57.04 | 1.615 | 22 |
| 41.64 | 2.169 | 14 |
| 53.61 | 1.709 | 13 |
| 70.74 | 1.332 | 12 |
| 70.09 | 1.343 | 12 |
| 88.76 | 1.102 | 6 |
| 28.32 | 3.152 | 6 |


Which formula does entry 2 have? Li11Hg3